Simulated powder X-ray diffraction pattern of Mg3HPd for a wavelength of 1.5418 Å, from a structure optimized by DFT (GGA-PBE).
Lines closer than 0.1° are merged.

Peak list (10 most intense, 2θ from 10° to 80°, by angle)
(1 0 0), 15.05°, I = 96; (1 1 0), 21.97°, I = 32; (0 1 2), 24.76°, I = 41; (1 1 -2), 28.08°, I = 34; (2 0 -2), 34.29°, I = 28; (1 1 -3), 34.96°, I = 33; (1 2 1), 37.37°, I = 100; (2 0 2), 37.62°, I = 57; (2 1 -2), 38.01°, I = 37; (0 1 4), 41.65°, I = 37

Cell: 5.9153 5.5698 9.4626 Å, 90.00 95.71 90.00°
Space group P2_1/c (No. 14)
Asymmetric unit:
Mg  0.0774  0.1014  0.1637 (multiplicity 4)
Mg  0.2168  0.5971  0.0852 (multiplicity 4)
Mg  0.3662  0.1567  0.8982 (multiplicity 4)
H  0.0554  0.1783  0.9497 (multiplicity 4)
Pd  0.3985  0.6679  0.8349 (multiplicity 4)